Entry 1:
The following is a theoretical X-ray diffraction stick pattern of La4FeCo3O12. It was derived from a DFT-relaxed cell (GGA+U, the Materials Project), using a wavelength of 1.5418 Å.
Lines closer than 0.1° are merged.

```
La4FeCo3O12
1.0
5.4694 0.0000 0.0000
-0.0184 5.5449 0.0000
-0.1980 -0.0622 7.8810
La Fe Co O
4 1 3 12
direct
0.0039 0.4977 0.2559 La
0.4951 0.0009 0.7458 La
0.5049 0.9991 0.2542 La
0.9961 0.5023 0.7441 La
0.5000 0.5000 0.0000 Fe
0.0000 0.0000 0.0000 Co
0.0000 0.0000 0.5000 Co
0.5000 0.5000 0.5000 Co
0.0021 0.0678 0.7429 O
0.2110 0.7276 0.5337 O
0.2132 0.2749 0.0327 O
0.2763 0.2108 0.4686 O
0.2765 0.7890 0.9687 O
0.5002 0.4385 0.7525 O
0.4998 0.5615 0.2475 O
0.7235 0.2110 0.0313 O
0.7237 0.7892 0.5314 O
0.7868 0.7251 0.9673 O
0.7890 0.2724 0.4663 O
0.9979 0.9322 0.2571 O
```

The 10 most intense peaks (10 to 90 degrees two-theta), by intensity:
- 2θ = 32.75°, I 100
- 2θ = 32.50°, I 51
- 2θ = 31.96°, I 51
- 2θ = 32.09°, I 50
- 2θ = 32.29°, I 49
- 2θ = 57.58°, I 43
- 2θ = 46.07°, I 31
- 2θ = 46.57°, I 30
- 2θ = 46.75°, I 30
- 2θ = 22.84°, I 26

Entry 2:
The following is a theoretical X-ray diffraction stick pattern of Sr3La2FeCo4O15. It was derived from a DFT-relaxed cell (GGA+U, the Materials Project), using a wavelength of 1.5418 Å.
Lines closer than 0.1° are merged.

```
Sr3La2FeCo4O15
1.0
2.7425 1.5834 11.1411
-2.7425 1.5834 11.1411
0.0000 -3.1668 11.1411
Sr La Fe Co O
3 2 1 4 15
direct
0.0000 0.0000 0.0000 Sr
0.1984 0.1984 0.1984 Sr
0.7994 0.7994 0.7994 Sr
0.4002 0.4002 0.4002 La
0.5991 0.5991 0.5991 La
0.8990 0.8990 0.8990 Fe
0.1011 0.1011 0.1011 Co
0.2996 0.2996 0.2996 Co
0.4996 0.4996 0.4996 Co
0.6986 0.6986 0.6986 Co
0.0043 0.4978 0.4978 O
0.1032 0.1032 0.5950 O
0.1032 0.5950 0.1032 O
0.2123 0.6942 0.6942 O
0.3028 0.3028 0.7872 O
0.3028 0.7872 0.3028 O
0.3999 0.8991 0.8991 O
0.4978 0.0043 0.4978 O
0.4978 0.4978 0.0043 O
0.5950 0.1032 0.1032 O
0.6942 0.2123 0.6942 O
0.6942 0.6942 0.2123 O
0.7872 0.3028 0.3028 O
0.8991 0.3999 0.8991 O
0.8991 0.8991 0.3999 O
```

The 10 most intense peaks (10 to 90 degrees two-theta), by intensity:
- 2θ = 32.65°, I 100
- 2θ = 32.76°, I 99
- 2θ = 46.93°, I 70
- 2θ = 58.32°, I 56
- 2θ = 40.30°, I 21
- 2θ = 68.42°, I 20
- 2θ = 68.67°, I 20
- 2θ = 58.55°, I 18
- 2θ = 77.95°, I 16
- 2θ = 78.13°, I 16